The following is a theoretical powder diffractogram of Cd3AuI. It was derived from DFT lattice parameters and positions (PBE), using CuKα.

Structural model:
a = 5.4057 Å, b = 5.4057 Å, c = 5.4057 Å
α = 90.00°, β = 90.00°, γ = 90.00°
Sites, in units of the cell vectors:
Cd 0.0000 0.0000 0.5000
Cd 0.0000 0.5000 0.0000
Cd 0.5000 0.0000 0.0000
Au 0.0000 0.0000 0.0000
I 0.5000 0.5000 0.5000

The 10 most intense peaks (10° ≤ 2θ ≤ 90°), sorted by position:
16.4 deg, intensity 41, hkl 1 0 0
23.3 deg, intensity 47, hkl 1 1 0
28.6 deg, intensity 33, hkl 1 1 1
33.1 deg, intensity 100, hkl 2 0 0
37.2 deg, intensity 23, hkl 2 1 0
40.9 deg, intensity 22, hkl 2 1 1
47.6 deg, intensity 72, hkl 2 2 0
59.2 deg, intensity 24, hkl 2 2 2
79.3 deg, intensity 32, hkl 4 2 0
88.6 deg, intensity 25, hkl 4 2 2